[1]
Diffraction record for Er3TmAs4. The powder X-ray diffraction pattern is theoretical, not measured: it uses the GGA-PBE geometry in Alexandria and Cu Kα, 1.54184 Å.

Top 10 peaks for 2θ = 10–90°, by angle:
26.8 deg, rel. 25; 31.0 deg, rel. 100; 44.4 deg, rel. 74; 52.6 deg, rel. 12; 55.2 deg, rel. 26; 64.7 deg, rel. 12; 71.3 deg, rel. 5; 73.4 deg, rel. 34; 81.8 deg, rel. 25; 88.0 deg, rel. 4

a b c (Å): 8.155 11.530 4.078
angles (deg): 90.00 90.00 90.00
Fractional positions:
Er 0.000 0.000 0.000
Er 0.250 0.250 0.500
Er 0.250 0.750 0.500
Er 0.500 0.500 0.000
Er 0.750 0.250 0.500
Er 0.750 0.750 0.500
Tm 0.000 0.500 0.000
Tm 0.500 0.000 0.000
As 0.000 0.250 0.000
As 0.000 0.750 0.000
As 0.249 0.500 0.500
As 0.251 0.000 0.500
As 0.500 0.250 0.000
As 0.500 0.750 0.000
As 0.749 0.000 0.500
As 0.751 0.500 0.500

[2]
Diffraction record for HoAl11. The powder X-ray diffraction pattern is theoretical, not measured: it uses the GGA-PBE geometry in Alexandria and Cu Kα, 1.54184 Å.

Top 12 peaks for 2θ = 10–90°, by angle:
14.7 deg, rel. 31; 16.2 deg, rel. 23; 21.9 deg, rel. 39; 22.9 deg, rel. 17; 27.3 deg, rel. 50; 31.9 deg, rel. 43; 32.6 deg, rel. 15; 35.9 deg, rel. 100; 36.6 deg, rel. 51; 38.4 deg, rel. 23; 55.1 deg, rel. 23; 65.5 deg, rel. 24

a b c (Å): 8.556 8.556 8.556
angles (deg): 100.21 100.21 130.21
Fractional positions:
Ho 0.375 0.625 0.750
Ho 0.625 0.375 0.250
Al 0.000 0.000 0.000
Al 0.000 0.000 0.500
Al 0.000 0.500 0.000
Al 0.125 0.875 0.250
Al 0.134 0.556 0.335
Al 0.134 0.799 0.577
Al 0.201 0.278 0.335
Al 0.201 0.866 0.923
Al 0.278 0.201 0.835
Al 0.278 0.444 0.077
Al 0.444 0.278 0.577
Al 0.444 0.866 0.165
Al 0.500 0.000 0.500
Al 0.556 0.134 0.835
Al 0.556 0.722 0.423
Al 0.722 0.556 0.923
Al 0.722 0.799 0.165
Al 0.799 0.134 0.077
Al 0.799 0.722 0.665
Al 0.866 0.201 0.423
Al 0.866 0.444 0.665
Al 0.875 0.125 0.750

[3]
Diffraction record for Pr2Ho4Cd. The powder X-ray diffraction pattern is theoretical, not measured: it uses the GGA-PBE geometry in Alexandria and Cu Kα, 1.54184 Å.

Top 12 peaks for 2θ = 10–90°, by angle:
27.8 deg, rel. 49; 30.6 deg, rel. 100; 31.1 deg, rel. 90; 34.4 deg, rel. 43; 35.6 deg, rel. 44; 44.2 deg, rel. 41; 44.5 deg, rel. 22; 47.4 deg, rel. 17; 55.0 deg, rel. 19; 58.2 deg, rel. 18; 62.5 deg, rel. 19; 63.0 deg, rel. 22

a b c (Å): 8.146 8.146 6.776
angles (deg): 90.00 90.00 90.00
Fractional positions:
Pr 0.000 0.500 0.250
Pr 0.000 0.500 0.750
Pr 0.500 0.000 0.250
Pr 0.500 0.000 0.750
Ho 0.208 0.208 0.075
Ho 0.208 0.792 0.925
Ho 0.292 0.292 0.575
Ho 0.292 0.708 0.425
Ho 0.708 0.292 0.425
Ho 0.708 0.708 0.575
Ho 0.792 0.208 0.925
Ho 0.792 0.792 0.075
Cd 0.000 0.000 0.500
Cd 0.500 0.500 0.000

[4]
Diffraction record for NaCdIn2Hg4. The powder X-ray diffraction pattern is theoretical, not measured: it uses the GGA-PBE geometry in Alexandria and Cu Kα, 1.54184 Å.

Top 12 peaks for 2θ = 10–90°, by angle:
22.5 deg, rel. 28; 29.2 deg, rel. 59; 29.8 deg, rel. 15; 31.3 deg, rel. 100; 34.7 deg, rel. 39; 43.3 deg, rel. 82; 46.0 deg, rel. 34; 60.0 deg, rel. 15; 62.0 deg, rel. 14; 68.1 deg, rel. 21; 69.8 deg, rel. 19; 73.0 deg, rel. 17

a b c (Å): 8.709 8.709 6.870
angles (deg): 113.17 113.17 89.07
Fractional positions:
Na 0.000 0.500 0.000
Na 0.500 0.000 0.500
Cd 0.000 0.000 0.000
Cd 0.000 0.000 0.500
In 0.000 0.500 0.500
In 0.500 0.000 0.000
In 0.500 0.500 0.000
In 0.500 0.500 0.500
Hg 0.238 0.248 0.492
Hg 0.248 0.238 0.992
Hg 0.249 0.751 0.501
Hg 0.249 0.751 0.999
Hg 0.751 0.249 0.001
Hg 0.751 0.249 0.499
Hg 0.752 0.762 0.008
Hg 0.762 0.752 0.508

[5]
Diffraction record for TbNdSm2Er. The powder X-ray diffraction pattern is theoretical, not measured: it uses the GGA-PBE geometry in Alexandria and Cu Kα, 1.54184 Å.

Top 12 peaks for 2θ = 10–90°, by angle:
28.8 deg, rel. 100; 29.1 deg, rel. 56; 29.6 deg, rel. 63; 31.9 deg, rel. 26; 32.4 deg, rel. 34; 32.7 deg, rel. 28; 33.4 deg, rel. 26; 34.1 deg, rel. 29; 34.7 deg, rel. 25; 45.2 deg, rel. 26; 53.1 deg, rel. 27; 56.2 deg, rel. 25

a b c (Å): 8.335 6.609 6.200
angles (deg): 90.00 92.12 90.00
Fractional positions:
Tb 0.000 0.071 0.250
Tb 0.000 0.929 0.750
Nd 0.000 0.500 0.000
Nd 0.000 0.500 0.500
Sm 0.309 0.191 0.738
Sm 0.309 0.809 0.238
Sm 0.691 0.191 0.762
Sm 0.691 0.809 0.262
Er 0.500 0.339 0.250
Er 0.500 0.661 0.750

[6]
Diffraction record for CaNdRu2O8. The powder X-ray diffraction pattern is theoretical, not measured: it uses the GGA-PBE geometry in Alexandria and Cu Kα, 1.54184 Å.

Top 12 peaks for 2θ = 10–90°, by angle:
17.3 deg, rel. 11; 21.5 deg, rel. 100; 30.1 deg, rel. 57; 31.0 deg, rel. 42; 37.3 deg, rel. 12; 43.8 deg, rel. 26; 48.7 deg, rel. 22; 49.9 deg, rel. 16; 53.5 deg, rel. 11; 54.1 deg, rel. 19; 55.7 deg, rel. 11; 62.6 deg, rel. 11

a b c (Å): 5.933 5.933 6.965
angles (deg): 90.00 90.00 120.00
Fractional positions:
Ca 0.000 0.000 0.000
Nd 0.000 0.000 0.500
Ru 0.333 0.667 0.819
Ru 0.667 0.333 0.181
O 0.163 0.326 0.738
O 0.163 0.837 0.738
O 0.326 0.163 0.262
O 0.333 0.667 0.072
O 0.667 0.333 0.928
O 0.674 0.837 0.738
O 0.837 0.163 0.262
O 0.837 0.674 0.262

[7]
Diffraction record for KPuCdBr6. The powder X-ray diffraction pattern is theoretical, not measured: it uses the GGA-PBE geometry in Alexandria and Cu Kα, 1.54184 Å.

Top 12 peaks for 2θ = 10–90°, by angle:
12.3 deg, rel. 63; 13.8 deg, rel. 36; 18.5 deg, rel. 54; 27.0 deg, rel. 100; 34.7 deg, rel. 87; 37.5 deg, rel. 18; 39.2 deg, rel. 21; 42.2 deg, rel. 43; 45.0 deg, rel. 37; 55.8 deg, rel. 19; 68.1 deg, rel. 26; 72.3 deg, rel. 16

a b c (Å): 7.419 7.419 14.396
angles (deg): 90.00 90.00 120.00
Fractional positions:
K 0.000 0.000 0.000
K 0.000 0.000 0.500
Pu 0.333 0.667 0.250
Pu 0.667 0.333 0.750
Cd 0.333 0.667 0.750
Cd 0.667 0.333 0.250
Br 0.007 0.372 0.637
Br 0.007 0.635 0.863
Br 0.365 0.372 0.863
Br 0.365 0.993 0.637
Br 0.372 0.007 0.137
Br 0.372 0.365 0.363
Br 0.628 0.635 0.637
Br 0.628 0.993 0.863
Br 0.635 0.007 0.363
Br 0.635 0.628 0.137
Br 0.993 0.365 0.137
Br 0.993 0.628 0.363

[8]
Diffraction record for Ni5HgSe8. The powder X-ray diffraction pattern is theoretical, not measured: it uses the GGA-PBE geometry in Alexandria and Cu Kα, 1.54184 Å.

Top 12 peaks for 2θ = 10–90°, by angle:
20.1 deg, rel. 22; 32.5 deg, rel. 100; 32.6 deg, rel. 50; 34.0 deg, rel. 19; 34.3 deg, rel. 32; 34.5 deg, rel. 61; 41.9 deg, rel. 18; 42.2 deg, rel. 37; 48.2 deg, rel. 34; 50.9 deg, rel. 88; 61.8 deg, rel. 17; 62.8 deg, rel. 17

a b c (Å): 9.508 9.508 8.165
angles (deg): 104.05 104.05 21.75
Fractional positions:
Ni 0.000 0.000 0.000
Ni 0.296 0.296 0.675
Ni 0.341 0.341 0.012
Ni 0.659 0.659 0.988
Ni 0.704 0.704 0.325
Hg 0.500 0.500 0.500
Se 0.089 0.089 0.833
Se 0.174 0.174 0.492
Se 0.238 0.238 0.153
Se 0.431 0.431 0.835
Se 0.569 0.569 0.165
Se 0.762 0.762 0.847
Se 0.826 0.826 0.508
Se 0.911 0.911 0.167

[9]
Diffraction record for Mn3AuI9. The powder X-ray diffraction pattern is theoretical, not measured: it uses the GGA-PBE geometry in Alexandria and Cu Kα, 1.54184 Å.

Top 12 peaks for 2θ = 10–90°, by angle:
14.5 deg, rel. 100; 15.0 deg, rel. 48; 20.8 deg, rel. 45; 21.4 deg, rel. 31; 24.1 deg, rel. 76; 24.4 deg, rel. 32; 25.0 deg, rel. 58; 26.3 deg, rel. 30; 26.5 deg, rel. 36; 32.5 deg, rel. 26; 37.0 deg, rel. 28; 43.1 deg, rel. 24

a b c (Å): 11.072 11.072 14.820
angles (deg): 122.09 122.09 56.18
Fractional positions:
Mn 0.004 0.705 0.837
Mn 0.127 0.873 0.500
Mn 0.304 0.635 0.685
Mn 0.635 0.304 0.185
Mn 0.705 0.004 0.337
Mn 0.873 0.127 0.000
Au 0.487 0.845 0.389
Au 0.845 0.487 0.889
I 0.125 0.455 0.924
I 0.136 0.514 0.672
I 0.158 0.872 0.032
I 0.224 0.933 0.737
I 0.277 0.549 0.471
I 0.318 0.985 0.524
I 0.455 0.125 0.424
I 0.499 0.566 0.336
I 0.514 0.136 0.172
I 0.549 0.277 0.971
I 0.566 0.499 0.836
I 0.692 0.729 0.290
I 0.729 0.692 0.790
I 0.796 0.966 0.768
I 0.872 0.158 0.532
I 0.933 0.224 0.237
I 0.966 0.796 0.268
I 0.985 0.318 0.024

[10]
Diffraction record for DyGaSnHg. The powder X-ray diffraction pattern is theoretical, not measured: it uses the GGA-PBE geometry in Alexandria and Cu Kα, 1.54184 Å.

Top 12 peaks for 2θ = 10–90°, by angle:
20.0 deg, rel. 8; 34.3 deg, rel. 100; 39.3 deg, rel. 17; 39.6 deg, rel. 17; 40.7 deg, rel. 16; 57.0 deg, rel. 12; 57.8 deg, rel. 11; 58.1 deg, rel. 11; 68.0 deg, rel. 14; 68.5 deg, rel. 14; 70.0 deg, rel. 13; 72.4 deg, rel. 12

a b c (Å): 4.436 4.548 4.588
angles (deg): 90.00 90.00 90.00
Fractional positions:
Dy 0.000 0.000 0.000
Ga 0.500 0.500 0.000
Sn 0.500 0.000 0.500
Hg 0.000 0.500 0.500

[11]
Diffraction record for Cs4HAu. The powder X-ray diffraction pattern is theoretical, not measured: it uses the GGA-PBE geometry in Alexandria and Cu Kα, 1.54184 Å.

Top 12 peaks for 2θ = 10–90°, by angle:
13.5 deg, rel. 17; 16.7 deg, rel. 29; 20.9 deg, rel. 11; 22.4 deg, rel. 100; 24.0 deg, rel. 14; 28.9 deg, rel. 54; 34.3 deg, rel. 11; 34.4 deg, rel. 14; 34.6 deg, rel. 22; 37.6 deg, rel. 25; 41.5 deg, rel. 13; 42.6 deg, rel. 11

a b c (Å): 10.415 8.955 8.490
angles (deg): 90.00 90.00 90.00
Fractional positions:
Cs 0.000 0.118 0.000
Cs 0.000 0.805 0.473
Cs 0.230 0.662 0.003
Cs 0.270 0.338 0.503
Cs 0.500 0.195 0.973
Cs 0.500 0.882 0.500
Cs 0.730 0.338 0.503
Cs 0.770 0.662 0.003
H 0.000 0.802 0.131
H 0.500 0.198 0.631
Au 0.000 0.471 0.745
Au 0.500 0.529 0.245

[12]
Diffraction record for KNa2U3Se8. The powder X-ray diffraction pattern is theoretical, not measured: it uses the GGA-PBE geometry in Alexandria and Cu Kα, 1.54184 Å.

Top 12 peaks for 2θ = 10–90°, by angle:
12.1 deg, rel. 100; 12.6 deg, rel. 33; 14.4 deg, rel. 15; 24.1 deg, rel. 17; 24.4 deg, rel. 41; 29.0 deg, rel. 93; 37.5 deg, rel. 38; 40.8 deg, rel. 38; 42.2 deg, rel. 42; 44.1 deg, rel. 25; 51.9 deg, rel. 17; 52.1 deg, rel. 17

a b c (Å): 8.847 8.847 8.847
angles (deg): 57.86 57.86 57.86
Fractional positions:
K 0.000 0.000 0.000
Na 0.375 0.375 0.375
Na 0.753 0.753 0.753
U 0.374 0.374 0.872
U 0.374 0.872 0.374
U 0.872 0.374 0.374
Se 0.129 0.129 0.565
Se 0.129 0.565 0.129
Se 0.141 0.141 0.141
Se 0.166 0.624 0.624
Se 0.565 0.129 0.129
Se 0.610 0.610 0.610
Se 0.624 0.166 0.624
Se 0.624 0.624 0.166

[13]
Diffraction record for ZnIr5. The powder X-ray diffraction pattern is theoretical, not measured: it uses the GGA-PBE geometry in Alexandria and Cu Kα, 1.54184 Å.

Top 12 peaks for 2θ = 10–90°, by angle:
37.5 deg, rel. 24; 38.0 deg, rel. 12; 40.9 deg, rel. 38; 42.9 deg, rel. 100; 43.3 deg, rel. 47; 56.7 deg, rel. 15; 68.3 deg, rel. 17; 75.9 deg, rel. 19; 76.2 deg, rel. 9; 82.0 deg, rel. 10; 82.8 deg, rel. 20; 83.6 deg, rel. 14

a b c (Å): 4.414 2.778 14.215
angles (deg): 90.00 90.00 90.00
Fractional positions:
Zn 0.000 0.000 0.000
Zn 0.000 0.500 0.500
Ir 0.000 0.000 0.333
Ir 0.000 0.000 0.667
Ir 0.000 0.500 0.167
Ir 0.000 0.500 0.833
Ir 0.500 0.000 0.219
Ir 0.500 0.000 0.555
Ir 0.500 0.000 0.891
Ir 0.500 0.500 0.055
Ir 0.500 0.500 0.391
Ir 0.500 0.500 0.719